For Nd8Sm5Er, a PBE-relaxed structure gives the calculated PXRD pattern in this record (λ = 1.5418 Å (Cu Kα)).
No peak broadening, texture or thermal motion is included.

Most intense lines, 5 to 70 degrees two-theta, in order of falling intensity:
| two_theta | I/Imax |
| --- | --- |
| 31.2 | 100 |
| 32.2 | 62 |
| 29.4 | 46 |
| 34.1 | 36 |
| 30.9 | 35 |
| 31.4 | 34 |
| 25.4 | 24 |
| 31.7 | 23 |
| 49.4 | 21 |
| 23.1 | 18 |

Structural model:
```
data_Nd8Sm5Er
_chemical_formula_sum 'Nd8 Sm5 Er1'
_cell_length_a 8.6590
_cell_length_b 8.6590
_cell_length_c 9.1709
_cell_angle_alpha 121.37
_cell_angle_beta 121.37
_cell_angle_gamma 82.17
_space_group_name_H-M_alt 'P 1'
_space_group_IT_number 1
_space_group_name_Hall 'P 1'
loop_
_atom_site_label
_atom_site_fract_x
_atom_site_fract_y
_atom_site_fract_z
Nd1 0.0630 0.0630 0.2812
Nd2 0.1195 0.5688 0.9513
Nd3 0.2833 0.1199 0.7715
Nd4 0.4312 0.8805 0.0487
Nd5 0.4907 0.3818 0.7141
Nd6 0.6182 0.5093 0.2859
Nd7 0.8801 0.7167 0.2285
Nd8 0.9370 0.9370 0.7188
Sm1 0.1042 0.5497 0.5394
Sm2 0.2709 0.3297 0.2305
Sm3 0.4503 0.8958 0.4606
Sm4 0.6703 0.7291 0.7695
Sm5 0.7768 0.2232 0.5000
Er1 0.7767 0.2233 0.0000
```